# 1
Diffraction record for Mg5Si9. The X-ray powder pattern is theoretical, not measured: it uses a cell relaxed with PBE and copper Kα.
Intensities are scaled so that the largest is 100.

Principal peaks in the range 2θ = 10–90°, in order of rising 2θ:
2θ = 15.06°, 5.882 Å, intensity 61.3; 2θ = 27.37°, 3.258 Å, intensity 64.6; 2θ = 29.86°, 2.993 Å, intensity 59.6; 2θ = 31.17°, 2.869 Å, intensity 86.2; 2θ = 31.26°, 2.861 Å, intensity 100.0; 2θ = 35.04°, 2.561 Å, intensity 73.4; 2θ = 35.25°, 2.546 Å, intensity 69.3; 2θ = 37.33°, 2.409 Å, intensity 61.3; 2θ = 37.83°, 2.378 Å, intensity 93.7; 2θ = 37.99°, 2.368 Å, intensity 81.4; 2θ = 38.44°, 2.342 Å, intensity 66.1; 2θ = 46.22°, 1.964 Å, intensity 60.2

Crystal structure
Lattice parameters (Å, degrees): 6.890 7.220 12.642 84.68 77.66 63.79
Sites, in units of the cell vectors:
Mg  0.000  0.000  0.000
Mg  0.022  0.873  0.580
Mg  0.138  0.114  0.748
Mg  0.299  0.402  0.903
Mg  0.328  0.627  0.095
Mg  0.494  0.824  0.300
Mg  0.546  0.965  0.035
Mg  0.589  0.655  0.528
Mg  0.776  0.471  0.935
Mg  0.836  0.294  0.341
Si  0.034  0.800  0.327
Si  0.035  0.558  0.747
Si  0.155  0.998  0.186
Si  0.180  0.405  0.573
Si  0.259  0.267  0.199
Si  0.317  0.573  0.423
Si  0.326  0.666  0.726
Si  0.407  0.783  0.876
Si  0.468  0.248  0.330
Si  0.519  0.118  0.618
Si  0.631  0.253  0.140
Si  0.641  0.333  0.687
Si  0.669  0.972  0.439
Si  0.683  0.868  0.762
Si  0.723  0.135  0.848
Si  0.935  0.591  0.231
Si  0.943  0.274  0.539
Si  0.947  0.647  0.043

---

# 2
Diffraction record for SmLuHg2. The X-ray powder pattern is theoretical, not measured: it uses a cell relaxed with PBE and copper Kα.
Intensities are scaled so that the largest is 100.

Principal peaks in the range 2θ = 10–90°, in order of rising 2θ:
2θ = 23.84°, 3.733 Å, intensity 1.3; 2θ = 33.96°, 2.639 Å, intensity 100.0; 2θ = 48.79°, 1.866 Å, intensity 18.3; 2θ = 55.01°, 1.669 Å, intensity 0.7; 2θ = 60.78°, 1.524 Å, intensity 38.1; 2θ = 71.49°, 1.320 Å, intensity 11.9; 2θ = 81.55°, 1.180 Å, intensity 16.9

Crystal structure
Lattice parameters (Å, degrees): 5.279 5.279 5.279 60.00 60.00 60.00
Sites, in units of the cell vectors:
Sm  0.000  0.000  0.000
Lu  0.500  0.500  0.500
Hg  0.250  0.250  0.250
Hg  0.750  0.750  0.750

---

# 3
Diffraction record for Mg3Pd. The X-ray powder pattern is theoretical, not measured: it uses a cell relaxed with PBE and copper Kα.
Intensities are scaled so that the largest is 100.

Principal peaks in the range 2θ = 10–90°, in order of rising 2θ:
2θ = 21.33°, 4.165 Å, intensity 47.6; 2θ = 21.92°, 4.055 Å, intensity 36.0; 2θ = 24.42°, 3.646 Å, intensity 100.0; 2θ = 38.45°, 2.341 Å, intensity 96.3; 2θ = 39.33°, 2.291 Å, intensity 99.9; 2θ = 44.39°, 2.041 Å, intensity 40.4; 2θ = 46.08°, 1.970 Å, intensity 17.9; 2θ = 56.18°, 1.637 Å, intensity 34.4; 2θ = 59.40°, 1.556 Å, intensity 20.8; 2θ = 69.55°, 1.352 Å, intensity 15.9; 2θ = 70.14°, 1.342 Å, intensity 34.4; 2θ = 80.42°, 1.194 Å, intensity 20.4

Crystal structure
Lattice parameters (Å, degrees): 4.682 4.682 8.330 90.00 90.00 120.00
Sites, in units of the cell vectors:
Mg  0.000  0.000  0.250
Mg  0.000  0.000  0.750
Mg  0.333  0.667  0.076
Mg  0.333  0.667  0.424
Mg  0.667  0.333  0.576
Mg  0.667  0.333  0.924
Pd  0.333  0.667  0.750
Pd  0.667  0.333  0.250